# Tm5Cu3
Simulated PXRD pattern, CuKα. Input: the GGA-PBE geometry in Alexandria.

Structure:
```
Tm5Cu3
1.0
3.4132 0.0000 0.0000
0.0000 3.4132 0.0000
0.0000 0.0000 15.5949
Tm Cu
5 3
direct
0.0000 0.0000 0.0000 Tm
0.0000 0.0000 0.2187 Tm
0.0000 0.0000 0.7813 Tm
0.5000 0.5000 0.3910 Tm
0.5000 0.5000 0.6090 Tm
0.0000 0.0000 0.5000 Cu
0.5000 0.5000 0.1095 Cu
0.5000 0.5000 0.8905 Cu
```

Peak list (10 most intense, 2θ from 15° to 90°, in order of rising 2θ)
26.7°, I = 24; 28.6°, I = 22; 34.9°, I = 100; 37.3°, I = 55; 43.8°, I = 9; 47.6°, I = 17; 53.7°, I = 19; 59.9°, I = 10; 62.0°, I = 9; 65.7°, I = 31

---

# YTm4Cu2
Simulated PXRD pattern, CuKα. Input: the GGA-PBE geometry in Alexandria.

Structure:
```
YTm4Cu2
1.0
7.3056 0.0000 0.0000
0.0000 6.3698 0.0000
-2.8339 0.0000 7.5927
Y Tm Cu
2 8 4
direct
0.1459 0.2500 0.0254 Y
0.8541 0.7500 0.9746 Y
0.0329 0.2500 0.3935 Tm
0.2283 0.7500 0.3443 Tm
0.4009 0.0045 0.7652 Tm
0.4009 0.4955 0.7652 Tm
0.5991 0.5045 0.2348 Tm
0.5991 0.9955 0.2348 Tm
0.7717 0.2500 0.6557 Tm
0.9671 0.7500 0.6065 Tm
0.2627 0.7500 0.9948 Cu
0.4019 0.2500 0.4219 Cu
0.5981 0.7500 0.5781 Cu
0.7373 0.2500 0.0052 Cu
```

Peak list (10 most intense, 2θ from 15° to 90°, in order of rising 2θ)
30.7°, I = 77; 31.0°, I = 100; 31.5°, I = 63; 31.7°, I = 85; 32.2°, I = 58; 33.2°, I = 59; 34.8°, I = 57; 36.2°, I = 71; 36.8°, I = 77; 37.6°, I = 48

---

# Y3TmCu4
Simulated PXRD pattern, CuKα. Input: the GGA-PBE geometry in Alexandria.

Structure:
```
Y3TmCu4
1.0
3.4665 0.0000 0.0000
0.0000 3.4665 0.0000
0.0000 0.0000 13.8541
Y Tm Cu
3 1 4
direct
0.0000 0.0000 0.0000 Y
0.0000 0.0000 0.2523 Y
0.0000 0.0000 0.7477 Y
0.0000 0.0000 0.5000 Tm
0.5000 0.5000 0.1250 Cu
0.5000 0.5000 0.3812 Cu
0.5000 0.5000 0.6188 Cu
0.5000 0.5000 0.8750 Cu
```

Peak list (10 most intense, 2θ from 15° to 90°, in order of rising 2θ)
25.7°, I = 7; 26.5°, I = 2; 36.7°, I = 100; 41.7°, I = 2; 45.3°, I = 2; 52.8°, I = 17; 59.7°, I = 3; 66.0°, I = 33; 78.0°, I = 10; 89.4°, I = 15

---

# YTm2Cu3
Simulated PXRD pattern, CuKα. Input: the GGA-PBE geometry in Alexandria.

Structure:
```
YTm2Cu3
1.0
3.4313 0.0000 0.0000
0.0000 3.4313 0.0000
0.0000 0.0000 10.3539
Y Tm Cu
1 2 3
direct
0.0000 0.0000 0.0000 Y
0.0000 0.0000 0.3354 Tm
0.0000 0.0000 0.6646 Tm
0.5000 0.5000 0.1737 Cu
0.5000 0.5000 0.5000 Cu
0.5000 0.5000 0.8263 Cu
```

Peak list (10 most intense, 2θ from 15° to 90°, in order of rising 2θ)
25.8°, I = 8; 26.0°, I = 15; 36.9°, I = 100; 37.1°, I = 50; 53.1°, I = 9; 53.4°, I = 17; 66.5°, I = 17; 66.7°, I = 34; 78.6°, I = 10; 89.9°, I = 7

---

# Y3Tm4Cu4
Simulated PXRD pattern, CuKα. Input: the GGA-PBE geometry in Alexandria.

Structure:
```
Y3Tm4Cu4
1.0
-2.3891 3.6708 7.4525
2.3891 -3.6708 7.4525
2.3891 3.6708 -7.4525
Y Tm Cu
3 4 4
direct
0.0000 0.0000 0.0000 Y
0.3945 0.8945 0.5000 Y
0.6055 0.1055 0.5000 Y
0.0451 0.3278 0.7172 Tm
0.3894 0.6722 0.7172 Tm
0.6106 0.3278 0.2828 Tm
0.9549 0.6722 0.2828 Tm
0.2041 0.2041 0.0000 Cu
0.3318 0.5000 0.8318 Cu
0.6682 0.5000 0.1682 Cu
0.7959 0.7959 0.0000 Cu
```

Peak list (10 most intense, 2θ from 15° to 90°, in order of rising 2θ)
25.9°, I = 39; 31.3°, I = 100; 32.8°, I = 40; 35.5°, I = 24; 35.7°, I = 69; 36.2°, I = 26; 37.7°, I = 56; 43.5°, I = 27; 44.0°, I = 23; 64.0°, I = 22

---

# Y2Tm3Cu4
Simulated PXRD pattern, CuKα. Input: the GGA-PBE geometry in Alexandria.

Structure:
```
Y2Tm3Cu4
1.0
8.3820 0.0000 0.0000
0.0000 7.1922 0.0000
-2.2742 0.0000 6.6456
Y Tm Cu
4 6 8
direct
0.1895 0.1788 0.0614 Y
0.1895 0.3212 0.5614 Y
0.8105 0.6788 0.4386 Y
0.8105 0.8212 0.9386 Y
0.2352 0.6740 0.2303 Tm
0.2352 0.8260 0.7303 Tm
0.5000 0.0000 0.5000 Tm
0.5000 0.5000 0.0000 Tm
0.7648 0.1740 0.2697 Tm
0.7648 0.3260 0.7697 Tm
0.0661 0.5322 0.8506 Cu
0.0661 0.9678 0.3506 Cu
0.4919 0.1245 0.8785 Cu
0.4919 0.3755 0.3785 Cu
0.5081 0.6245 0.6215 Cu
0.5081 0.8755 0.1215 Cu
0.9339 0.0322 0.6494 Cu
0.9339 0.4678 0.1494 Cu
```

Peak list (10 most intense, 2θ from 15° to 90°, in order of rising 2θ)
16.6°, I = 40; 28.9°, I = 37; 33.4°, I = 100; 33.6°, I = 93; 33.9°, I = 44; 34.8°, I = 95; 35.9°, I = 76; 40.0°, I = 38; 40.6°, I = 70; 56.5°, I = 40

---

# Tm4ZnCu
Simulated PXRD pattern, CuKα. Input: the GGA-PBE geometry in Alexandria.

Structure:
```
Tm4ZnCu
1.0
4.8088 0.0000 0.0000
0.0000 4.8088 0.0000
0.0000 0.0000 6.8534
Tm Zn Cu
4 1 1
direct
0.0000 0.5000 0.2446 Tm
0.0000 0.5000 0.7554 Tm
0.5000 0.0000 0.2446 Tm
0.5000 0.0000 0.7554 Tm
0.0000 0.0000 0.5000 Zn
0.5000 0.5000 0.0000 Cu
```

Peak list (10 most intense, 2θ from 15° to 90°, in order of rising 2θ)
22.6°, I = 11; 26.0°, I = 27; 26.2°, I = 53; 37.3°, I = 100; 37.4°, I = 50; 46.1°, I = 24; 53.9°, I = 17; 67.1°, I = 17; 67.4°, I = 35; 79.4°, I = 11

---

# Tm2Zn6Cu9
Simulated PXRD pattern, CuKα. Input: the GGA-PBE geometry in Alexandria.

Structure:
```
Tm2Zn6Cu9
1.0
5.0696 0.0000 0.0000
-2.5348 4.3904 0.0000
0.0000 0.0000 12.4531
Tm Zn Cu
2 6 9
direct
0.0000 0.0000 0.1663 Tm
0.0000 0.0000 0.8337 Tm
0.3333 0.6667 0.1657 Zn
0.3333 0.6667 0.5000 Zn
0.3333 0.6667 0.8343 Zn
0.6667 0.3333 0.1657 Zn
0.6667 0.3333 0.5000 Zn
0.6667 0.3333 0.8343 Zn
0.0000 0.5000 0.0000 Cu
0.0000 0.5000 0.3321 Cu
0.0000 0.5000 0.6679 Cu
0.5000 0.0000 0.0000 Cu
0.5000 0.0000 0.3321 Cu
0.5000 0.0000 0.6679 Cu
0.5000 0.5000 0.0000 Cu
0.5000 0.5000 0.3321 Cu
0.5000 0.5000 0.6679 Cu
```

Peak list (10 most intense, 2θ from 15° to 90°, in order of rising 2θ)
21.5°, I = 17; 29.6°, I = 27; 35.4°, I = 29; 41.1°, I = 29; 41.8°, I = 100; 43.6°, I = 28; 46.8°, I = 17; 61.5°, I = 17; 67.9°, I = 22; 74.9°, I = 16

---

# TmZn6Cu4
Simulated PXRD pattern, CuKα. Input: the GGA-PBE geometry in Alexandria.

Structure:
```
TmZn6Cu4
1.0
-3.1521 3.1521 4.5895
3.1521 -3.1521 4.5895
3.1521 3.1521 -4.5895
Tm Zn Cu
1 6 4
direct
0.0000 0.0000 0.0000 Tm
0.0000 0.5000 0.5000 Zn
0.1048 0.4845 0.0000 Zn
0.4845 0.1048 0.0000 Zn
0.5000 0.0000 0.5000 Zn
0.5155 0.5155 0.6203 Zn
0.8952 0.8952 0.3797 Zn
0.2602 0.2602 0.6696 Cu
0.4094 0.7398 0.0000 Cu
0.5906 0.5906 0.3304 Cu
0.7398 0.4094 0.0000 Cu
```

Peak list (10 most intense, 2θ from 15° to 90°, in order of rising 2θ)
19.3°, I = 35; 32.5°, I = 35; 33.2°, I = 92; 34.5°, I = 100; 40.5°, I = 54; 43.7°, I = 75; 44.2°, I = 71; 44.4°, I = 51; 57.7°, I = 30; 68.6°, I = 26

---

# Tm5Zn2Cu12
Simulated PXRD pattern, CuKα. Input: the GGA-PBE geometry in Alexandria.

Structure:
```
Tm5Zn2Cu12
1.0
7.2414 -3.3581 0.0000
7.2414 3.3581 0.0000
-0.2442 0.0000 6.4695
Tm Zn Cu
5 2 12
direct
0.0000 0.0000 0.0000 Tm
0.2437 0.2437 0.9406 Tm
0.3038 0.3038 0.4560 Tm
0.6962 0.6962 0.5440 Tm
0.7563 0.7563 0.0594 Tm
0.2873 0.7127 0.5000 Zn
0.7127 0.2873 0.5000 Zn
0.0482 0.6734 0.7438 Cu
0.1104 0.1104 0.5963 Cu
0.2070 0.5903 0.1500 Cu
0.3266 0.9518 0.2562 Cu
0.4097 0.7930 0.8500 Cu
0.4469 0.4469 0.8259 Cu
0.5531 0.5531 0.1741 Cu
0.5903 0.2070 0.1500 Cu
0.6734 0.0482 0.7438 Cu
0.7930 0.4097 0.8500 Cu
0.8896 0.8896 0.4037 Cu
0.9518 0.3266 0.2562 Cu
```

Peak list (10 most intense, 2θ from 15° to 90°, in order of rising 2θ)
26.5°, I = 34; 29.3°, I = 31; 35.4°, I = 72; 36.5°, I = 68; 37.0°, I = 100; 38.0°, I = 39; 38.6°, I = 48; 38.8°, I = 91; 41.0°, I = 62; 43.3°, I = 51

---

# TmZn2Cu2
Simulated PXRD pattern, CuKα. Input: the GGA-PBE geometry in Alexandria.

Structure:
```
TmZn2Cu2
1.0
3.6389 0.0000 0.0000
0.0000 4.0423 0.0000
0.0000 0.0000 11.3389
Tm Zn Cu
2 4 4
direct
0.2500 0.2500 0.2485 Tm
0.7500 0.7500 0.7515 Tm
0.2500 0.2500 0.6377 Zn
0.2500 0.7500 0.9894 Zn
0.7500 0.2500 0.0106 Zn
0.7500 0.7500 0.3623 Zn
0.2500 0.2500 0.8532 Cu
0.2500 0.7500 0.5124 Cu
0.7500 0.2500 0.4876 Cu
0.7500 0.7500 0.1468 Cu
```

Peak list (10 most intense, 2θ from 15° to 90°, in order of rising 2θ)
32.4°, I = 25; 33.1°, I = 16; 34.2°, I = 36; 36.8°, I = 100; 44.8°, I = 25; 45.9°, I = 29; 47.2°, I = 14; 50.1°, I = 18; 57.6°, I = 16; 70.3°, I = 16

---

# TmZn8Cu2
Simulated PXRD pattern, CuKα. Input: the GGA-PBE geometry in Alexandria.

Structure:
```
TmZn8Cu2
1.0
5.2416 0.0000 0.0000
0.0000 5.2416 0.0000
0.0000 0.0000 8.2255
Tm Zn Cu
1 8 2
direct
0.0000 0.0000 0.0000 Tm
0.2523 0.2523 0.2880 Zn
0.2523 0.2523 0.7120 Zn
0.2523 0.7477 0.2880 Zn
0.2523 0.7477 0.7120 Zn
0.7477 0.2523 0.2880 Zn
0.7477 0.2523 0.7120 Zn
0.7477 0.7477 0.2880 Zn
0.7477 0.7477 0.7120 Zn
0.0000 0.5000 0.5000 Cu
0.5000 0.0000 0.5000 Cu
```

Peak list (10 most intense, 2θ from 15° to 90°, in order of rising 2θ)
16.9°, I = 17; 20.1°, I = 27; 26.4°, I = 46; 27.6°, I = 13; 40.8°, I = 100; 40.9°, I = 14; 44.0°, I = 12; 49.2°, I = 33; 68.1°, I = 13; 86.3°, I = 23

---

# Tm3Zn3Cu
Simulated PXRD pattern, CuKα. Input: the GGA-PBE geometry in Alexandria.

Structure:
```
Tm3Zn3Cu
1.0
-1.7971 2.1932 9.2882
1.7971 -2.1932 9.2882
1.7971 2.1932 -9.2882
Tm Zn Cu
3 3 1
direct
0.0000 0.0000 0.0000 Tm
0.3829 0.3829 0.0000 Tm
0.6981 0.1981 0.5000 Tm
0.1292 0.6292 0.5000 Zn
0.5537 0.5537 0.0000 Zn
0.8336 0.8336 0.0000 Zn
0.2608 0.7608 0.5000 Cu
```

Peak list (10 most intense, 2θ from 15° to 90°, in order of rising 2θ)
24.9°, I = 32; 28.8°, I = 14; 33.7°, I = 100; 34.7°, I = 57; 37.7°, I = 17; 39.7°, I = 42; 41.2°, I = 31; 50.8°, I = 17; 54.9°, I = 31; 66.3°, I = 18